The following is a calculated powder X-ray diffraction pattern of PrTaTiO6. It was derived from the GGA-PBE geometry in Alexandria, using a wavelength of 1.5418 Å.
Kinematic intensities with the Lorentz-polarization factor, no thermal factor.

Largest 6 diffraction maxima, by angle, 2θ = 10–90°:
2θ/deg, I (rel.)
19.8, 44
21.7, 42
28.5, 25
29.2, 74
29.9, 100
33.0, 32

Cell and atoms:
Cell: 11.1111 5.4266 7.5718 Å, 90.00 90.00 90.00°
Space group Pna2_1 (No. 33)
Unique sites:
Pr 0.0440 0.0433 0.0000 (multiplicity 4)
Ta 0.1445 0.5369 0.2566 (multiplicity 4)
Ti 0.1423 0.5348 0.7430 (multiplicity 4)
O 0.0249 0.2720 0.7139 (multiplicity 4)
O 0.0289 0.2652 0.2891 (multiplicity 4)
O 0.1223 0.6566 0.5031 (multiplicity 4)
O 0.1438 0.4551 0.9999 (multiplicity 4)
O 0.2087 0.8701 0.8088 (multiplicity 4)
O 0.2136 0.8729 0.1937 (multiplicity 4)

=====

The following is a calculated powder X-ray diffraction pattern of Pr2Tc2O7. It was derived from the GGA-PBE geometry in Alexandria, using a wavelength of 1.5418 Å.
Kinematic intensities with the Lorentz-polarization factor, no thermal factor.

Largest 6 diffraction maxima, by angle, 2θ = 10–90°:
2θ/deg, I (rel.)
28.9, 100
30.5, 99
34.5, 38
49.5, 62
57.4, 30
60.3, 25

Cell and atoms:
Cell: 7.0791 7.6710 5.2182 Å, 90.00 90.00 90.00°
Space group Cmmm (No. 65)
Unique sites:
Pr 0.2447 0.0000 0.0000 (multiplicity 4)
Tc 0.0000 0.2659 0.5000 (multiplicity 4)
O 0.0000 0.0000 0.5000 (multiplicity 2)
O 0.0000 0.5000 0.2815 (multiplicity 4)
O 0.2500 0.2500 0.2733 (multiplicity 8)

=====

The following is a calculated powder X-ray diffraction pattern of Pr5Tc2O12. It was derived from the GGA-PBE geometry in Alexandria, using a wavelength of 1.5418 Å.
Kinematic intensities with the Lorentz-polarization factor, no thermal factor.

Largest 6 diffraction maxima, by angle, 2θ = 10–90°:
2θ/deg, I (rel.)
26.5, 98
27.3, 100
31.4, 59
44.5, 30
46.0, 22
53.9, 25

Cell and atoms:
Cell: 12.9965 5.8242 7.9001 Å, 90.00 107.86 90.00°
Space group C2/m (No. 12)
Unique sites:
Pr 0.0000 0.0000 0.0000 (multiplicity 2)
Pr 0.1850 0.5000 0.3297 (multiplicity 4)
Pr 0.1916 0.5000 0.8546 (multiplicity 4)
Tc 0.0000 0.2131 0.5000 (multiplicity 4)
O 0.0009 0.0000 0.6965 (multiplicity 4)
O 0.0012 0.5000 0.6661 (multiplicity 4)
O 0.1555 0.2516 0.0774 (multiplicity 8)
O 0.1582 0.2455 0.5775 (multiplicity 8)

=====

The following is a calculated powder X-ray diffraction pattern of PrTeO5. It was derived from the GGA-PBE geometry in Alexandria, using a wavelength of 1.5418 Å.
Kinematic intensities with the Lorentz-polarization factor, no thermal factor.

Largest 6 diffraction maxima, by angle, 2θ = 10–90°:
2θ/deg, I (rel.)
23.8, 59
24.9, 44
29.7, 100
34.8, 20
45.7, 32
47.0, 29

Cell and atoms:
Cell: 7.3974 7.4717 7.1412 Å, 90.00 90.00 90.00°
Space group Imma (No. 74)
Unique sites:
Pr 0.0000 0.2500 0.2169 (multiplicity 4)
Te 0.2500 0.2500 0.7500 (multiplicity 4)
O 0.0000 0.2500 0.8514 (multiplicity 4)
O 0.1943 0.2500 0.4888 (multiplicity 8)
O 0.2500 0.0070 0.2500 (multiplicity 8)